No. 1
Diffraction record for Ni2Sn3S3. The powder XRD pattern is simulated, not measured: it uses a cell relaxed with PBE and copper Kα.
No peak broadening, texture or thermal motion is included.

Principal peaks in the range 2θ from 10° to 90°, low angle first:
30.9 deg, I = 48
32.7 deg, I = 97
32.8 deg, I = 100
38.8 deg, I = 34
46.8 deg, I = 38
47.1 deg, I = 32

Atomic structure:
Lattice parameters (Å, degrees): 8.652 8.652 8.652 90.44 90.44 90.44
Positions (direct):
Ni (0.235, 0.742, 0.729)
Ni (0.236, 0.236, 0.236)
Ni (0.258, 0.271, 0.765)
Ni (0.271, 0.765, 0.258)
Ni (0.729, 0.235, 0.742)
Ni (0.742, 0.729, 0.235)
Ni (0.764, 0.764, 0.764)
Ni (0.765, 0.258, 0.271)
Sn (0.000, 0.149, 0.664)
Sn (0.000, 0.851, 0.336)
Sn (0.149, 0.664, 0.000)
Sn (0.164, 0.501, 0.351)
Sn (0.336, 0.000, 0.851)
Sn (0.351, 0.164, 0.501)
Sn (0.499, 0.649, 0.836)
Sn (0.501, 0.351, 0.164)
Sn (0.649, 0.836, 0.499)
Sn (0.664, 0.000, 0.149)
Sn (0.836, 0.499, 0.649)
Sn (0.851, 0.336, 0.000)
S (0.005, 0.154, 0.345)
S (0.154, 0.345, 0.005)
S (0.156, 0.496, 0.654)
S (0.345, 0.005, 0.154)
S (0.346, 0.844, 0.504)
S (0.496, 0.654, 0.156)
S (0.504, 0.346, 0.844)
S (0.654, 0.156, 0.496)
S (0.655, 0.995, 0.846)
S (0.844, 0.504, 0.346)
S (0.846, 0.655, 0.995)
S (0.995, 0.846, 0.655)

No. 2
Diffraction record for SrNiS3. The powder XRD pattern is simulated, not measured: it uses a cell relaxed with PBE and copper Kα.
No peak broadening, texture or thermal motion is included.

Principal peaks in the range 2θ from 10° to 90°, low angle first:
27.6 deg, I = 100
34.0 deg, I = 40
39.4 deg, I = 84
48.8 deg, I = 42
57.0 deg, I = 53
78.2 deg, I = 20

Atomic structure:
Lattice parameters (Å, degrees): 4.573 4.573 4.573 90.00 90.00 90.00
Positions (direct):
Sr (0.000, 0.000, 0.000)
Ni (0.500, 0.500, 0.500)
S (0.000, 0.500, 0.500)
S (0.500, 0.000, 0.500)
S (0.500, 0.500, 0.000)

No. 3
Diffraction record for SrU4Ni3S12. The powder XRD pattern is simulated, not measured: it uses a cell relaxed with PBE and copper Kα.
No peak broadening, texture or thermal motion is included.

Principal peaks in the range 2θ from 10° to 90°, low angle first:
18.5 deg, I = 37
26.2 deg, I = 100
37.4 deg, I = 25
42.0 deg, I = 26
46.3 deg, I = 62
73.8 deg, I = 24

Atomic structure:
Lattice parameters (Å, degrees): 8.324 8.324 8.324 109.47 109.47 109.47
Positions (direct):
Sr (0.000, 0.000, 0.000)
U (0.000, 0.000, 0.500)
U (0.000, 0.500, 0.000)
U (0.500, 0.000, 0.000)
U (0.500, 0.500, 0.500)
Ni (0.000, 0.500, 0.500)
Ni (0.500, 0.000, 0.500)
Ni (0.500, 0.500, 0.000)
S (0.157, 0.478, 0.321)
S (0.157, 0.837, 0.679)
S (0.163, 0.321, 0.843)
S (0.321, 0.157, 0.478)
S (0.321, 0.843, 0.163)
S (0.478, 0.321, 0.157)
S (0.522, 0.679, 0.843)
S (0.679, 0.157, 0.837)
S (0.679, 0.843, 0.522)
S (0.837, 0.679, 0.157)
S (0.843, 0.163, 0.321)
S (0.843, 0.522, 0.679)